[1]
This entry pairs a crystal structure of Cs2PuCl4O2 with its calculated powder diffractogram. Radiation: Cu Kα X-rays. Structure: a structure optimized by DFT (GGA-PBE).
Neutral-atom scattering factors, no anomalous dispersion.

Structural model:
Unit cell a=12.2981 b=7.8199 c=5.9055 alpha=90.00 beta=96.21 gamma=90.00
Space group C2/m (No. 12)
Unique sites:
1 Cs 0.1597 0.0000 0.3036 (multiplicity 4)
2 Pu 0.0000 0.5000 0.0000 (multiplicity 2)
3 Cl 0.1019 0.2535 0.7912 (multiplicity 8)
4 O 0.1121 0.5000 0.2182 (multiplicity 4)

Most intense lines, 15° ≤ 2θ ≤ 90°, by intensity:
2θ (°)	d [Å]	Rel. int.	index
20.85	4.261	100.0	1 1 1
30.33	2.947	79.8	2 2 -1
24.63	3.614	67.0	3 1 0
19.80	4.484	39.8	2 0 -1
32.67	2.741	31.1	1 1 -2
22.74	3.910	25.9	0 2 0
46.68	1.946	23.6	1 3 -2
38.83	2.319	19.7	1 3 1
40.08	2.250	19.0	5 1 -1
41.11	2.196	17.9	3 3 0
15.09	5.871	17.3	0 0 1
34.52	2.598	16.1	4 0 1



[2]
This entry pairs a crystal structure of Na4CuTe2O29 with its calculated powder diffractogram. Radiation: Cu Kα X-rays. Structure: a structure optimized by DFT (GGA-PBE).
Neutral-atom scattering factors, no anomalous dispersion.

Structural model:
Unit cell a=5.4426 b=8.9248 c=14.1222 alpha=90.29 beta=93.45 gamma=107.74
Space group P-1 (No. 2)
Unique sites:
1 Na 0.0775 0.3691 0.3254 (multiplicity 2)
2 Na 0.1228 0.8563 0.9552 (multiplicity 2)
3 Cu 0.5000 0.5000 0.0000 (multiplicity 1)
4 Te 0.2649 0.7227 0.1940 (multiplicity 2)
5 O 0.0000 0.5000 0.5000 (multiplicity 1)
6 O 0.0072 0.1749 0.5196 (multiplicity 2)
7 O 0.0086 0.5812 0.2541 (multiplicity 2)
8 O 0.0871 0.8172 0.1112 (multiplicity 2)
9 O 0.0889 0.9249 0.7409 (multiplicity 2)
10 O 0.1021 0.8967 0.4124 (multiplicity 2)
11 O 0.1697 0.3476 0.1458 (multiplicity 2)
12 O 0.2787 0.9509 0.8012 (multiplicity 2)
13 O 0.2902 0.4836 0.1058 (multiplicity 2)
14 O 0.3126 0.5473 0.4475 (multiplicity 2)
15 O 0.3607 0.1682 0.0317 (multiplicity 2)
16 O 0.4056 0.6949 0.6585 (multiplicity 2)
17 O 0.4320 0.6897 0.4349 (multiplicity 2)
18 O 0.4725 0.8293 0.6260 (multiplicity 2)
19 O 0.4907 0.2873 0.9820 (multiplicity 2)

Most intense lines, 15° ≤ 2θ ≤ 90°, by intensity:
2θ (°)	d [Å]	Rel. int.	index
18.63	4.762	100.0	1 0 1
21.81	4.076	86.2	1 -1 2
22.69	3.919	63.7	1 1 0
27.65	3.227	44.0	0 1 4
21.97	4.046	43.8	1 0 2
34.41	2.606	42.7	0 3 2
25.69	3.467	35.7	-1 2 2
16.14	5.491	33.7	0 1 -2
23.37	3.806	32.9	-1 2 1
27.16	3.283	30.5	0 1 -4
33.20	2.698	29.8	-2 1 1
39.32	2.291	28.4	2 -1 3



[3]
This entry pairs a crystal structure of V2GaSn2 with its calculated powder diffractogram. Radiation: Cu Kα X-rays. Structure: a structure optimized by DFT (GGA-PBE).
Neutral-atom scattering factors, no anomalous dispersion.

Structural model:
Unit cell a=5.6092 b=18.8632 c=6.7520 alpha=90.00 beta=90.00 gamma=90.00
Space group Cmce (No. 64)
Unique sites:
1 V 0.0000 0.0739 0.0282 (multiplicity 8)
2 V 0.2500 0.1588 0.7500 (multiplicity 8)
3 Ga 0.2500 0.0181 0.7500 (multiplicity 8)
4 Sn 0.0000 0.1113 0.4230 (multiplicity 8)
5 Sn 0.0000 0.2217 0.0777 (multiplicity 8)

Most intense lines, 15° ≤ 2θ ≤ 90°, by intensity:
2θ (°)	d [Å]	Rel. int.	index
31.50	2.840	100.0	1 5 1
41.88	2.157	96.4	2 0 2
39.19	2.299	88.0	0 6 2
34.12	2.628	87.9	1 3 2
39.42	2.286	70.7	1 7 1
43.23	2.093	67.8	2 6 0
35.96	2.498	65.9	2 2 1
41.24	2.189	63.5	0 2 3
66.39	1.408	52.4	2 8 3
40.52	2.226	47.0	0 8 1
31.91	2.805	30.8	2 0 0
59.01	1.565	27.3	1 3 4



[4]
This entry pairs a crystal structure of Li3FeS3 with its calculated powder diffractogram. Radiation: Cu Kα X-rays. Structure: a structure optimized by DFT (GGA-PBE).
Neutral-atom scattering factors, no anomalous dispersion.

Structural model:
Unit cell a=6.5755 b=6.2999 c=12.9527 alpha=90.00 beta=117.91 gamma=90.00
Space group P2_1/c (No. 14)
Unique sites:
1 Li 0.0304 0.0047 0.2875 (multiplicity 4)
2 Li 0.4042 0.0046 0.6064 (multiplicity 4)
3 Li 0.4601 0.0010 0.1137 (multiplicity 4)
4 Fe 0.0040 0.1350 0.9255 (multiplicity 4)
5 S 0.0051 0.7178 0.4098 (multiplicity 4)
6 S 0.3103 0.7472 0.7304 (multiplicity 4)
7 S 0.3256 0.2408 0.4341 (multiplicity 4)

Most intense lines, 15° ≤ 2θ ≤ 90°, by intensity:
2θ (°)	d [Å]	Rel. int.	index
15.25	5.810	100.0	1 0 0
16.06	5.519	68.4	0 1 1
19.52	4.547	50.4	1 1 -1
28.33	3.150	48.8	0 2 0
30.73	2.910	45.6	2 0 0
21.25	4.182	45.2	1 1 -2
27.56	3.237	43.4	1 0 -4
20.97	4.236	38.6	0 1 2
15.48	5.723	35.4	0 0 2
39.94	2.257	35.3	1 2 -4
30.11	2.968	34.9	1 1 2
46.91	1.937	32.5	3 0 0



[5]
This entry pairs a crystal structure of GdAsS with its calculated powder diffractogram. Radiation: Cu Kα X-rays. Structure: a structure optimized by DFT (GGA-PBE).
Neutral-atom scattering factors, no anomalous dispersion.

Structural model:
Unit cell a=17.1301 b=3.8606 c=3.8747 alpha=90.00 beta=90.00 gamma=90.00
Space group Pnma (No. 62)
Unique sites:
1 Gd 0.1461 0.2500 0.2167 (multiplicity 4)
2 As 0.0021 0.2500 0.7150 (multiplicity 4)
3 S 0.1859 0.7500 0.7175 (multiplicity 4)

Most intense lines, 15° ≤ 2θ ≤ 90°, by intensity:
2θ (°)	d [Å]	Rel. int.	index
25.27	3.525	100.0	2 1 0
39.08	2.305	90.6	4 1 1
34.42	2.605	56.7	2 1 1
31.33	2.855	43.6	6 0 0
39.22	2.297	34.4	6 0 1
47.08	1.930	21.5	0 2 0
64.15	1.452	20.1	10 1 1
32.75	2.735	20.0	0 1 1
48.60	1.873	19.6	8 1 0
46.90	1.937	18.0	0 0 2
57.64	1.599	14.9	6 2 0
57.48	1.603	13.6	6 0 2



[6]
This entry pairs a crystal structure of Cs3Sm2N9 with its calculated powder diffractogram. Radiation: Cu Kα X-rays. Structure: a structure optimized by DFT (GGA-PBE).
Neutral-atom scattering factors, no anomalous dispersion.

Structural model:
Unit cell a=12.7599 b=12.7599 c=15.3070 alpha=90.00 beta=90.00 gamma=120.00
Space group R-3c (No. 167, hexagonal axes)
Unique sites:
1 Cs 0.0000 0.3315 0.2500 (multiplicity 18)
2 Sm 0.0000 0.0000 0.1394 (multiplicity 12)
3 N 0.0000 0.1306 0.7500 (multiplicity 18)
4 N 0.0051 0.1772 0.4194 (multiplicity 36)

Most intense lines, 15° ≤ 2θ ≤ 90°, by intensity:
2θ (°)	d [Å]	Rel. int.	index
24.16	3.683	100.0	3 0 0
22.31	3.985	52.1	1 1 3
33.12	2.705	40.1	2 2 3
42.51	2.127	21.8	3 3 0
41.42	2.180	20.4	4 1 3
49.49	1.842	19.9	6 0 0
31.71	2.822	16.8	2 1 4
24.62	3.616	15.9	1 0 4
37.99	2.369	15.0	1 1 6
45.53	1.992	13.6	2 2 6
52.20	1.752	13.3	4 1 6
67.25	1.392	12.0	6 3 0